Structure and computed powder diffraction line list of Tm2PuNpO8 (a PBE-relaxed structure; Cu Kα X-rays).

Structural model:
a = 3.757 Å, b = 7.487 Å, c = 5.289 Å
α = 90.00°, β = 90.12°, γ = 90.00°
Fractional positions:
1 Tm 0.000 0.250 0.000
2 Tm 0.000 0.750 0.000
3 Pu 0.500 0.000 0.500
4 Np 0.500 0.500 0.500
5 O 0.001 0.000 0.255
6 O 0.001 0.500 0.262
7 O 0.499 0.258 0.742
8 O 0.499 0.742 0.742
9 O 0.501 0.258 0.258
10 O 0.501 0.742 0.258
11 O 0.999 0.000 0.745
12 O 0.999 0.500 0.738

Top 10 peaks for 2θ = 10–80°, in order of rising 2θ:
2theta  I_rel
29.19  100
33.83  35
48.46  8
48.63  41
57.60  15
57.72  19
57.81  11
60.58  8
71.10  5
78.80  13

Structure and computed powder diffraction line list of RbMgAl2Cl8 (a PBE-relaxed structure; Cu Kα X-rays).

Structural model:
a = 10.446 Å, b = 10.446 Å, c = 10.446 Å
α = 37.20°, β = 37.20°, γ = 37.20°
Fractional positions:
1 Rb 0.000 0.000 0.000
2 Mg 0.500 0.500 0.500
3 Al 0.252 0.252 0.252
4 Al 0.748 0.748 0.748
5 Cl 0.068 0.453 0.794
6 Cl 0.206 0.932 0.547
7 Cl 0.326 0.326 0.326
8 Cl 0.453 0.794 0.068
9 Cl 0.547 0.206 0.932
10 Cl 0.674 0.674 0.674
11 Cl 0.794 0.068 0.453
12 Cl 0.932 0.547 0.206

Top 10 peaks for 2θ = 10–80°, in order of rising 2θ:
2theta  I_rel
19.63  49
26.76  17
27.55  33
28.32  100
28.99  14
32.60  65
46.27  34
47.26  33
54.70  12
55.58  19